Entry 1:
Structure and theoretical powder diffractogram of HfBe3Pt2 (DFT lattice parameters and positions (PBE); Cu Kα (weighted mean of Kα1 and Kα2)).
No peak broadening, texture or thermal motion is included.

Top 10 peaks for 10 to 90 degrees two-theta, in order of falling intensity:
32.18°, I = 100; 43.45°, I = 76; 36.75°, I = 73; 43.71°, I = 64; 30.16°, I = 38; 19.98°, I = 35; 54.02°, I = 31; 80.12°, I = 26; 71.34°, I = 25; 63.54°, I = 21

Crystal structure
Cell: 2.929 2.929 8.890 Å, 90.00 90.00 90.00°
Fractional positions:
Hf  0.000  0.000  0.000
Be  0.000  0.000  0.372
Be  0.500  0.500  0.507
Be  0.500  0.500  0.791
Pt  0.000  0.000  0.647
Pt  0.500  0.500  0.235

Entry 2:
Structure and theoretical powder diffractogram of HfBe5Re (DFT lattice parameters and positions (PBE); Cu Kα (weighted mean of Kα1 and Kα2)).
No peak broadening, texture or thermal motion is included.

Top 10 peaks for 10 to 90 degrees two-theta, in order of falling intensity:
21.74°, I = 100; 24.04°, I = 68; 42.44°, I = 53; 40.65°, I = 47; 34.79°, I = 33; 24.77°, I = 31; 33.92°, I = 29; 42.01°, I = 28; 55.63°, I = 25; 54.18°, I = 20

Crystal structure
Cell: 5.167 5.167 5.167 Å, 118.48 88.48 123.35°
Fractional positions:
Hf  0.000  0.000  0.000
Be  0.322  0.586  0.736
Be  0.353  0.026  0.673
Be  0.353  0.679  0.327
Be  0.526  0.526  0.000
Be  0.850  0.586  0.264
Re  0.811  0.311  0.500

Entry 3:
Structure and theoretical powder diffractogram of Hf2ScBe2 (DFT lattice parameters and positions (PBE); Cu Kα (weighted mean of Kα1 and Kα2)).
No peak broadening, texture or thermal motion is included.

Top 10 peaks for 10 to 90 degrees two-theta, in order of falling intensity:
15.38°, I = 100; 33.79°, I = 57; 37.80°, I = 37; 28.84°, I = 28; 38.75°, I = 27; 41.92°, I = 23; 31.04°, I = 22; 29.90°, I = 21; 34.32°, I = 19; 42.88°, I = 15

Crystal structure
Cell: 5.454 5.454 11.525 Å, 90.00 90.00 146.77°
Fractional positions:
Hf  0.132  0.868  0.530
Hf  0.132  0.868  0.970
Hf  0.868  0.132  0.030
Hf  0.868  0.132  0.470
Sc  0.457  0.543  0.750
Sc  0.543  0.457  0.250
Be  0.240  0.760  0.165
Be  0.240  0.760  0.335
Be  0.760  0.240  0.665
Be  0.760  0.240  0.835

Entry 4:
Structure and theoretical powder diffractogram of Hf2Be2SiSn (DFT lattice parameters and positions (PBE); Cu Kα (weighted mean of Kα1 and Kα2)).
No peak broadening, texture or thermal motion is included.

Top 10 peaks for 10 to 90 degrees two-theta, in order of falling intensity:
36.34°, I = 100; 26.50°, I = 48; 46.79°, I = 35; 60.64°, I = 23; 79.93°, I = 21; 29.24°, I = 21; 70.90°, I = 18; 57.49°, I = 9; 50.02°, I = 8; 24.41°, I = 8

Crystal structure
Cell: 3.883 3.883 7.294 Å, 90.00 90.00 120.00°
Fractional positions:
Hf  0.000  0.000  0.231
Hf  0.000  0.000  0.769
Be  0.333  0.667  0.000
Be  0.667  0.333  0.500
Si  0.667  0.333  0.000
Sn  0.333  0.667  0.500

- Which formula does entry 4 have?
  Hf2Be2SiSn

Repeat the fourth record exactly.
Structure and theoretical powder diffractogram of Hf2Be2SiSn (DFT lattice parameters and positions (PBE); Cu Kα (weighted mean of Kα1 and Kα2)).
No peak broadening, texture or thermal motion is included.

Top 10 peaks for 10 to 90 degrees two-theta, in order of falling intensity:
36.34°, I = 100; 26.50°, I = 48; 46.79°, I = 35; 60.64°, I = 23; 79.93°, I = 21; 29.24°, I = 21; 70.90°, I = 18; 57.49°, I = 9; 50.02°, I = 8; 24.41°, I = 8

Crystal structure
Cell: 3.883 3.883 7.294 Å, 90.00 90.00 120.00°
Fractional positions:
Hf  0.000  0.000  0.231
Hf  0.000  0.000  0.769
Be  0.333  0.667  0.000
Be  0.667  0.333  0.500
Si  0.667  0.333  0.000
Sn  0.333  0.667  0.500